Structure and simulated X-ray diffraction stick pattern of TlIn2Cl8 (a cell relaxed with PBE; copper Kα).
No peak broadening, texture or thermal motion is included.

Principal peaks in the range 2θ = 10–80°, in order of rising 2θ:
Position (°2θ), I/Imax
12.00, 100
18.75, 58
20.08, 43
20.31, 41
24.39, 29
26.59, 42
34.69, 37
35.11, 26
40.78, 31
45.84, 33

Structure:
a b c (Å): 8.0795 8.0795 6.7323
angles (deg): 97.71 97.71 66.36
Atoms (fractional coordinates):
Tl 0.0000 0.0000 0.0000
In 0.2020 0.2020 0.6602
In 0.7980 0.7980 0.3398
Cl 0.1011 0.6870 0.2298
Cl 0.1827 0.1827 0.2948
Cl 0.3130 0.8989 0.7702
Cl 0.3738 0.3738 0.7791
Cl 0.6262 0.6262 0.2209
Cl 0.6870 0.1011 0.2298
Cl 0.8173 0.8173 0.7052
Cl 0.8989 0.3130 0.7702